No. 1
PuThRu2: calculated PXRD pattern (λ = 1.5418 Å (Cu Kα)), based on a cell relaxed with GGA-PBE.

Structure:
```
PuThRu2
1.0
5.8514 0.0000 0.0000
0.0000 5.4985 0.0000
-2.7131 0.0000 10.7293
Pu Th Ru
4 4 8
Cartesian
0.4174 1.0524 1.4045 Pu
-0.9392 4.4460 6.7692 Pu
4.0775 1.0524 3.9601 Pu
2.7210 4.4460 9.3247 Pu
-0.5163 1.6817 9.2350 Th
0.8402 3.8168 3.8704 Th
2.2981 1.6817 6.8589 Th
3.6547 3.8168 1.4943 Th
-0.5875 1.7084 6.1252 Ru
0.7690 3.7901 0.7605 Ru
1.2289 1.0727 3.8487 Ru
-0.1277 4.4258 9.2134 Ru
3.2660 1.0727 1.5159 Ru
1.9095 4.4258 6.8805 Ru
2.3693 1.7084 9.9687 Ru
3.7259 3.7901 4.6041 Ru
```

Principal peaks in the range 15 to 90 degrees two-theta, in order of rising 2θ:
2θ 25.3, intensity 49
2θ 30.7, intensity 65
2θ 31.9, intensity 100
2θ 32.6, intensity 76
2θ 33.4, intensity 89
2θ 33.7, intensity 53
2θ 39.4, intensity 57
2θ 45.3, intensity 34
2θ 46.2, intensity 41
2θ 47.3, intensity 39


No. 2
Mg2HIr2: calculated PXRD pattern (λ = 1.5418 Å (Cu Kα)), based on a cell relaxed with GGA-PBE.

Structure:
```
Mg2HIr2
1.0
0.0000 3.1734 3.1948
3.1669 0.0000 3.1948
3.1669 3.1734 0.0000
Mg H Ir
2 1 2
Cartesian
1.5835 1.5867 0.0000 Mg
1.5835 1.5867 3.1948 Mg
0.0000 0.0000 0.0000 H
3.1669 3.1734 1.7229 Ir
3.1669 3.1734 4.6668 Ir
```

Principal peaks in the range 15 to 90 degrees two-theta, in order of rising 2θ:
2θ 27.9, intensity 36
2θ 28.1, intensity 78
2θ 40.1, intensity 100
2θ 40.2, intensity 53
2θ 49.7, intensity 31
2θ 58.1, intensity 9
2θ 65.4, intensity 11
2θ 65.9, intensity 22
2θ 72.7, intensity 15
2θ 73.0, intensity 35


No. 3
Li11In3: calculated PXRD pattern (λ = 1.5418 Å (Cu Kα)), based on a cell relaxed with GGA-PBE.

Structure:
```
Li11In3
1.0
-2.3326 4.4955 5.8795
2.3326 -4.4955 5.8795
2.3326 4.4955 -5.8795
Li In
11 3
Cartesian
0.0000 0.0000 0.0000 Li
2.3326 -2.5223 4.0737 Li
2.3326 1.3381 0.0000 Li
2.3326 3.2995 -1.5974 Li
0.0000 1.9732 1.8058 Li
0.0000 1.1960 4.2821 Li
2.3326 3.2995 1.5974 Li
2.3326 2.5223 4.0737 Li
0.0000 1.1960 7.4768 Li
0.0000 3.1575 5.8795 Li
0.0000 7.0178 1.8058 Li
2.3326 0.0000 2.4690 In
0.0000 4.4955 0.0000 In
0.0000 4.4955 3.4105 In
```

Principal peaks in the range 15 to 90 degrees two-theta, in order of rising 2θ:
2θ 19.7, intensity 60
2θ 21.5, intensity 100
2θ 24.8, intensity 42
2θ 29.8, intensity 29
2θ 35.6, intensity 33
2θ 36.0, intensity 44
2θ 37.5, intensity 29
2θ 37.8, intensity 17
2θ 38.6, intensity 16
2θ 46.4, intensity 16